The following is a simulated X-ray powder pattern of CeTmAu6. It was derived from a PBE-relaxed structure, using Cu Kα, 1.54184 Å.
No peak broadening, texture or thermal motion is included.

Most intense lines, 2θ from 10° to 90°, by angle:
2theta	I (rel.)
36.4	100
36.5	100
37.1	95
51.5	19
53.4	33
65.2	28
66.3	17
66.5	53
77.3	11
77.5	12

Crystal structure
```
data_CeTmAu6
_chemical_formula_sum 'Ce1 Tm1 Au6'
_cell_length_a 4.928
_cell_length_b 4.928
_cell_length_c 8.616
_cell_angle_alpha 108.42
_cell_angle_beta 108.42
_cell_angle_gamma 58.88
_symmetry_space_group_name_H-M 'P 1'
_symmetry_Int_Tables_number 1
loop_
_symmetry_equiv_pos_as_xyz
'x,y,z'
loop_
_atom_site_label
_atom_site_type_symbol
_atom_site_fract_x
_atom_site_fract_y
_atom_site_fract_z
_atom_site_occupancy
Ce1 Ce 0.000 0.000 0.000 1
Tm1 Tm 0.500 0.500 0.500 1
Au1 Au 0.129 0.129 0.384 1
Au2 Au 0.248 0.248 0.752 1
Au3 Au 0.380 0.380 0.135 1
Au4 Au 0.620 0.620 0.865 1
Au5 Au 0.752 0.752 0.248 1
Au6 Au 0.871 0.871 0.616 1
```



The following is a simulated X-ray powder pattern of KAsRu2. It was derived from a PBE-relaxed structure, using Cu Kα, 1.54184 Å.
No peak broadening, texture or thermal motion is included.

Most intense lines, 2θ from 10° to 90°, by angle:
2theta	I (rel.)
28.9	16
35.2	46
38.7	100
44.7	44
49.1	10
58.3	10
61.9	10
65.5	20
69.8	11
70.0	12

Crystal structure
```
data_KAsRu2
_chemical_formula_sum 'K1 As1 Ru2'
_cell_length_a 3.000
_cell_length_b 3.000
_cell_length_c 9.275
_cell_angle_alpha 90.00
_cell_angle_beta 90.00
_cell_angle_gamma 116.34
_symmetry_space_group_name_H-M 'P 1'
_symmetry_Int_Tables_number 1
loop_
_symmetry_equiv_pos_as_xyz
'x,y,z'
loop_
_atom_site_label
_atom_site_type_symbol
_atom_site_fract_x
_atom_site_fract_y
_atom_site_fract_z
_atom_site_occupancy
K1 K 0.000 0.000 0.000 1
As1 As 0.000 0.000 0.500 1
Ru1 Ru 0.500 0.500 0.308 1
Ru2 Ru 0.500 0.500 0.692 1
```



The following is a simulated X-ray powder pattern of Ho4ErSn. It was derived from a PBE-relaxed structure, using Cu Kα, 1.54184 Å.
No peak broadening, texture or thermal motion is included.

Most intense lines, 2θ from 10° to 90°, by angle:
2theta	I (rel.)
17.6	30
28.8	13
31.0	60
31.6	19
32.6	29
33.2	67
34.1	73
34.8	100
48.5	19
62.0	13

Crystal structure
```
data_Ho4ErSn
_chemical_formula_sum 'Ho8 Er2 Sn2'
_cell_length_a 12.436
_cell_length_b 12.436
_cell_length_c 6.399
_cell_angle_alpha 90.00
_cell_angle_beta 90.00
_cell_angle_gamma 156.10
_symmetry_space_group_name_H-M 'P 1'
_symmetry_Int_Tables_number 1
loop_
_symmetry_equiv_pos_as_xyz
'x,y,z'
loop_
_atom_site_label
_atom_site_type_symbol
_atom_site_fract_x
_atom_site_fract_y
_atom_site_fract_z
_atom_site_occupancy
Ho1 Ho 0.044 0.956 0.500 1
Ho2 Ho 0.185 0.815 0.575 1
Ho3 Ho 0.225 0.775 0.072 1
Ho4 Ho 0.360 0.640 0.814 1
Ho5 Ho 0.640 0.360 0.314 1
Ho6 Ho 0.775 0.225 0.572 1
Ho7 Ho 0.815 0.185 0.075 1
Ho8 Ho 0.956 0.044 0.000 1
Er1 Er 0.093 0.907 0.989 1
Er2 Er 0.907 0.093 0.489 1
Sn1 Sn 0.344 0.656 0.323 1
Sn2 Sn 0.656 0.344 0.823 1
```



The following is a simulated X-ray powder pattern of Ce2As2Rh5. It was derived from a PBE-relaxed structure, using Cu Kα, 1.54184 Å.
No peak broadening, texture or thermal motion is included.

Most intense lines, 2θ from 10° to 90°, by angle:
2theta	I (rel.)
29.1	13
36.2	100
36.7	10
39.9	11
42.8	20
43.1	49
60.2	14
62.6	16
70.1	13
74.5	24

Crystal structure
```
data_Ce2As2Rh5
_chemical_formula_sum 'Ce2 As2 Rh5'
_cell_length_a 4.196
_cell_length_b 4.196
_cell_length_c 9.030
_cell_angle_alpha 90.00
_cell_angle_beta 90.00
_cell_angle_gamma 90.00
_symmetry_space_group_name_H-M 'P 1'
_symmetry_Int_Tables_number 1
loop_
_symmetry_equiv_pos_as_xyz
'x,y,z'
loop_
_atom_site_label
_atom_site_type_symbol
_atom_site_fract_x
_atom_site_fract_y
_atom_site_fract_z
_atom_site_occupancy
Ce1 Ce 0.000 0.000 0.000 1
Ce2 Ce 0.000 0.000 0.500 1
As1 As 0.500 0.500 0.141 1
As2 As 0.500 0.500 0.859 1
Rh1 Rh 0.000 0.500 0.274 1
Rh2 Rh 0.000 0.500 0.726 1
Rh3 Rh 0.500 0.000 0.274 1
Rh4 Rh 0.500 0.000 0.726 1
Rh5 Rh 0.500 0.500 0.500 1
```



The following is a simulated X-ray powder pattern of ZnFe2I. It was derived from a PBE-relaxed structure, using Cu Kα, 1.54184 Å.
No peak broadening, texture or thermal motion is included.

Most intense lines, 2θ from 10° to 90°, by angle:
2theta	I (rel.)
26.4	14
32.3	100
40.7	26
43.6	43
48.7	52
61.2	15
73.4	15
78.6	10
79.9	11
80.5	12

Crystal structure
```
data_ZnFe2I
_chemical_formula_sum 'Zn2 Fe4 I2'
_cell_length_a 9.326
_cell_length_b 9.326
_cell_length_c 9.326
_cell_angle_alpha 154.46
_cell_angle_beta 154.46
_cell_angle_gamma 36.43
_symmetry_space_group_name_H-M 'P 1'
_symmetry_Int_Tables_number 1
loop_
_symmetry_equiv_pos_as_xyz
'x,y,z'
loop_
_atom_site_label
_atom_site_type_symbol
_atom_site_fract_x
_atom_site_fract_y
_atom_site_fract_z
_atom_site_occupancy
Zn1 Zn 0.000 0.000 0.000 1
Zn2 Zn 0.750 0.250 0.500 1
Fe1 Fe 0.054 0.625 0.929 1
Fe2 Fe 0.375 0.304 0.429 1
Fe3 Fe 0.696 0.125 0.071 1
Fe4 Fe 0.875 0.946 0.571 1
I1 I 0.250 0.750 0.500 1
I2 I 0.500 0.500 0.000 1
```



The following is a simulated X-ray powder pattern of Er2TmSn2. It was derived from a PBE-relaxed structure, using Cu Kα, 1.54184 Å.
No peak broadening, texture or thermal motion is included.

Most intense lines, 2θ from 10° to 90°, by angle:
2theta	I (rel.)
32.8	100
34.8	89
48.5	34
57.2	18
61.1	34
62.3	17
68.7	11
73.4	11
79.3	14
82.7	15

Crystal structure
```
data_Er2TmSn2
_chemical_formula_sum 'Er2 Tm1 Sn2'
_cell_length_a 6.482
_cell_length_b 6.482
_cell_length_c 6.482
_cell_angle_alpha 46.91
_cell_angle_beta 46.91
_cell_angle_gamma 46.91
_symmetry_space_group_name_H-M 'P 1'
_symmetry_Int_Tables_number 1
loop_
_symmetry_equiv_pos_as_xyz
'x,y,z'
loop_
_atom_site_label
_atom_site_type_symbol
_atom_site_fract_x
_atom_site_fract_y
_atom_site_fract_z
_atom_site_occupancy
Er1 Er 0.208 0.208 0.208 1
Er2 Er 0.792 0.792 0.792 1
Tm1 Tm 0.000 0.000 0.000 1
Sn1 Sn 0.407 0.407 0.407 1
Sn2 Sn 0.593 0.593 0.593 1
```



Question: Which formula does entry 4 have?
Answer: Ce2As2Rh5



Copy entry 1 word for word.
The following is a simulated X-ray powder pattern of CeTmAu6. It was derived from a PBE-relaxed structure, using Cu Kα, 1.54184 Å.
No peak broadening, texture or thermal motion is included.

Most intense lines, 2θ from 10° to 90°, by angle:
2theta	I (rel.)
36.4	100
36.5	100
37.1	95
51.5	19
53.4	33
65.2	28
66.3	17
66.5	53
77.3	11
77.5	12

Crystal structure
```
data_CeTmAu6
_chemical_formula_sum 'Ce1 Tm1 Au6'
_cell_length_a 4.928
_cell_length_b 4.928
_cell_length_c 8.616
_cell_angle_alpha 108.42
_cell_angle_beta 108.42
_cell_angle_gamma 58.88
_symmetry_space_group_name_H-M 'P 1'
_symmetry_Int_Tables_number 1
loop_
_symmetry_equiv_pos_as_xyz
'x,y,z'
loop_
_atom_site_label
_atom_site_type_symbol
_atom_site_fract_x
_atom_site_fract_y
_atom_site_fract_z
_atom_site_occupancy
Ce1 Ce 0.000 0.000 0.000 1
Tm1 Tm 0.500 0.500 0.500 1
Au1 Au 0.129 0.129 0.384 1
Au2 Au 0.248 0.248 0.752 1
Au3 Au 0.380 0.380 0.135 1
Au4 Au 0.620 0.620 0.865 1
Au5 Au 0.752 0.752 0.248 1
Au6 Au 0.871 0.871 0.616 1
```